For Sr16Mn8O29, a structure optimized by DFT (PBE+U) gives the computed X-ray diffraction stick pattern in this record (Cu Ka).
Peak positions follow from Bragg's law for the DFT cell and can differ from measured ones.

Structure:
```
data_Sr16Mn8O29
_chemical_formula_sum 'Sr16 Mn8 O29'
_cell_length_a 6.9010
_cell_length_b 10.3908
_cell_length_c 10.9826
_cell_angle_alpha 90.16
_cell_angle_beta 90.07
_cell_angle_gamma 104.04
_space_group_name_H-M_alt 'P 1'
_space_group_IT_number 1
loop_
_space_group_symop_operation_xyz
'x,y,z'
loop_
_atom_site_label
_atom_site_fract_x
_atom_site_fract_y
_atom_site_fract_z
Sr1 0.0000 0.0000 0.0000
Sr2 0.0010 0.0144 0.4935
Sr3 0.1787 0.6002 0.7564
Sr4 0.1976 0.6179 0.2593
Sr5 0.2318 0.2445 0.7448
Sr6 0.2550 0.2572 0.2506
Sr7 0.4238 0.8595 0.0032
Sr8 0.4463 0.8654 0.4970
Sr9 0.4796 0.5060 0.0068
Sr10 0.5041 0.5051 0.5056
Sr11 0.6762 0.0978 0.7425
Sr12 0.6802 0.1142 0.2495
Sr13 0.7339 0.7494 0.7538
Sr14 0.7536 0.7645 0.2586
Sr15 0.9284 0.3641 0.5011
Sr16 0.9439 0.3502 0.0030
Mn1 0.2130 0.9302 0.7488
Mn2 0.2155 0.9342 0.2530
Mn3 0.4629 0.1826 0.5012
Mn4 0.4685 0.1808 0.0013
Mn5 0.7122 0.4308 0.7547
Mn6 0.7182 0.4323 0.2512
Mn7 0.9575 0.6797 0.0008
Mn8 0.9705 0.6848 0.5009
O1 0.0783 0.7970 0.1357
O2 0.0798 0.7991 0.8615
O3 0.1068 0.8210 0.3918
O4 0.1806 0.5957 0.0122
O5 0.2152 0.6139 0.5129
O6 0.2248 0.2646 0.5017
O7 0.2468 0.2685 0.9901
O8 0.3255 0.0417 0.6136
O9 0.3314 0.0491 0.1247
O10 0.3467 0.0694 0.3668
O11 0.3560 0.0702 0.8702
O12 0.4350 0.8396 0.7418
O13 0.4536 0.8567 0.2519
O14 0.4698 0.4985 0.7625
O15 0.4954 0.5221 0.2430
O16 0.5753 0.2965 0.6392
O17 0.5905 0.3117 0.3859
O18 0.6059 0.3200 0.1131
O19 0.7005 0.1072 0.4989
O20 0.7122 0.1097 0.9916
O21 0.7181 0.7516 0.0099
O22 0.7463 0.7716 0.5108
O23 0.8105 0.5290 0.9035
O24 0.8523 0.5646 0.3594
O25 0.8534 0.5701 0.6318
O26 0.9329 0.3423 0.7606
O27 0.9622 0.3624 0.2427
O28 0.9679 0.9971 0.7388
O29 0.9770 0.0131 0.2499
```

Top 10 peaks for 10° ≤ 2θ ≤ 90°, low angle first:
2theta	I (rel.)	index
31.3	100	2 0 -2
32.6	74	0 0 4
42.9	17	3 -3 0
43.6	17	2 -2 4
46.7	18	1 3 -4
46.9	18	1 3 4
54.9	19	3 -3 4
57.3	18	2 0 -6
57.4	18	-1 3 6
68.3	10	0 0 8